For NdAl2MoO8, a cell relaxed with PBE+U gives the theoretical powder XRD pattern in this record (Cu Kα (λ = 1.5418 Å)).
Neutral-atom scattering factors, no anomalous dispersion.

Atomic structure:
```
12
Lattice="3.229 -3.292 0.000 3.229 3.292 0.000 0.000 0.000 6.504" Properties=species:S:1:pos:R:3 pbc="T T T"
Nd 0.000 0.000 0.000
Al 3.229 0.000 1.778
Al 3.229 0.000 4.726
Mo 0.000 0.000 3.252
O 1.356 0.000 1.888
O 1.356 0.000 4.616
O 3.229 1.303 3.252
O 3.229 1.024 0.000
O 3.229 -1.024 0.000
O 3.229 -1.303 3.252
O 5.102 0.000 1.888
O 5.102 0.000 4.616
```

Peak list (6 most intense, 2θ from 10° to 90°, by angle)
2θ/deg  intensity
19.25  96
27.09  76
27.63  64
33.73  100
39.32  49
52.24  50